Diffraction record for YSiNi2. The powder diffraction line list is computed, not measured: it uses a structure optimized by DFT (GGA-PBE) and copper Kα.
No peak broadening, texture or thermal motion is included.

Main lines, in order of falling intensity (2θ = 10–80°):
hkl 1 1 2, 45.62°, I 100; hkl 1 1 -2, 36.44°, I 54; hkl 2 1 -1, 41.59°, I 53; hkl 0 1 1, 26.61°, I 50; hkl 1 0 -3, 41.26°, I 27; hkl 2 0 0, 36.74°, I 26

Atomic structure:
abc: 5.1931 3.9783 6.5923
angles: 90.00 109.61 90.00
Sites, in units of the cell vectors:
Y1 0.2501 0.2500 0.2502
Y2 0.7499 0.7500 0.7498
Si1 0.2492 0.2500 0.7504
Si2 0.7508 0.7500 0.2496
Ni1 0.1517 0.7500 0.5497
Ni2 0.3486 0.7500 0.9500
Ni3 0.6514 0.2500 0.0500
Ni4 0.8483 0.2500 0.4503

Diffraction record for HfNbS4. The powder diffraction line list is computed, not measured: it uses a structure optimized by DFT (GGA-PBE) and copper Kα.
No peak broadening, texture or thermal motion is included.

Main lines, in order of falling intensity (2θ = 10–80°):
hkl 0 0 2, 13.94°, I 100; hkl 1 0 2, 33.21°, I 71; hkl 1 0 4, 41.56°, I 59; hkl 1 0 0, 29.99°, I 27; hkl 1 1 0, 53.25°, I 20; hkl 1 0 6, 53.06°, I 20

Atomic structure:
abc: 3.4403 3.4403 12.7036
angles: 90.00 90.00 120.00
Sites, in units of the cell vectors:
Hf1 0.0000 0.0000 0.0000
Nb1 0.0000 0.0000 0.5000
S1 0.3333 0.6667 0.3788
S2 0.3333 0.6667 0.6212
S3 0.6667 0.3333 0.1250
S4 0.6667 0.3333 0.8750

Diffraction record for KSn5Pd3. The powder diffraction line list is computed, not measured: it uses a structure optimized by DFT (GGA-PBE) and copper Kα.
No peak broadening, texture or thermal motion is included.

Main lines, in order of falling intensity (2θ = 10–80°):
hkl 2 0 2, 43.28°, I 100; hkl 0 0 1, 10.67°, I 93; hkl 1 1 0, 32.02°, I 66; hkl 2 0 1, 38.75°, I 57; hkl 1 0 2, 28.34°, I 47; hkl 1 1 2, 38.86°, I 41

Atomic structure:
abc: 5.5902 5.5902 8.2922
angles: 90.00 90.00 120.00
Sites, in units of the cell vectors:
K1 0.0000 0.0000 0.0000
Sn1 0.0000 0.0000 0.5000
Sn2 0.3333 0.6667 0.2163
Sn3 0.3333 0.6667 0.7837
Sn4 0.6667 0.3333 0.2163
Sn5 0.6667 0.3333 0.7837
Pd1 0.0000 0.5000 0.5000
Pd2 0.5000 0.0000 0.5000
Pd3 0.5000 0.5000 0.5000

Diffraction record for Zr2GePd2Pb. The powder diffraction line list is computed, not measured: it uses a structure optimized by DFT (GGA-PBE) and copper Kα.
No peak broadening, texture or thermal motion is included.

Main lines, in order of falling intensity (2θ = 10–80°):
hkl 0 2 0, 40.27°, I 100; hkl 3 0 -1, 24.34°, I 30; hkl 4 3 0, 73.23°, I 25; hkl 2 0 2, 28.17°, I 18; hkl 4 2 -4, 58.26°, I 17; hkl 3 2 -1, 47.61°, I 15

Atomic structure:
abc: 10.9678 4.4759 10.9873
angles: 90.00 109.51 90.00
Sites, in units of the cell vectors:
Zr1 0.0000 0.0000 0.0000
Zr2 0.1168 0.5000 0.3731
Zr3 0.2381 0.0000 0.7418
Zr4 0.3756 0.5000 0.1352
Zr5 0.4983 0.0000 0.4991
Zr6 0.6239 0.5000 0.8668
Zr7 0.7469 0.0000 0.2570
Zr8 0.8661 0.5000 0.6200
Ge1 0.2475 0.0000 0.2509
Ge2 0.6216 0.5000 0.3760
Ge3 0.7455 0.0000 0.7457
Ge4 0.9931 0.0000 0.4977
Pd1 0.1309 0.5000 0.1339
Pd2 0.2353 0.0000 0.4883
Pd3 0.3700 0.5000 0.8732
Pd4 0.4990 0.0000 0.2603
Pd5 0.6262 0.5000 0.6211
Pd6 0.7478 0.0000 0.9880
Pd7 0.8688 0.5000 0.3807
Pd8 0.9850 0.0000 0.7391
Pb1 0.1194 0.5000 0.8744
Pb2 0.3693 0.5000 0.6208
Pb3 0.4977 0.0000 0.0014
Pb4 0.8703 0.5000 0.1245

Diffraction record for NdGdNO. The powder diffraction line list is computed, not measured: it uses a structure optimized by DFT (GGA-PBE) and copper Kα.
No peak broadening, texture or thermal motion is included.

Main lines, in order of falling intensity (2θ = 10–80°):
hkl 1 0 2, 30.95°, I 100; hkl 0 1 1, 25.21°, I 43; hkl 0 1 3, 44.47°, I 24; hkl 2 0 0, 35.74°, I 23; hkl 2 1 3, 58.31°, I 21; hkl 2 1 1, 44.24°, I 19

Atomic structure:
abc: 5.0250 4.0870 7.0503
angles: 90.00 90.00 90.00
Sites, in units of the cell vectors:
Nd1 0.2500 0.0000 0.1649
Nd2 0.7500 0.0000 0.8351
Gd1 0.2500 0.5000 0.6663
Gd2 0.7500 0.5000 0.3337
N1 0.2500 0.5000 0.3421
N2 0.7500 0.5000 0.6579
O1 0.2500 0.0000 0.8136
O2 0.7500 0.0000 0.1864

Diffraction record for HoErTlB. The powder diffraction line list is computed, not measured: it uses a structure optimized by DFT (GGA-PBE) and copper Kα.
No peak broadening, texture or thermal motion is included.

Main lines, in order of falling intensity (2θ = 10–80°):
hkl 1 0 3, 32.75°, I 100; hkl 1 0 0, 28.48°, I 23; hkl 0 0 6, 31.97°, I 22; hkl 1 1 6, 60.98°, I 21; hkl 1 1 0, 50.44°, I 21; hkl 1 0 9, 57.47°, I 18

Atomic structure:
abc: 3.6183 3.6183 16.7979
angles: 90.00 90.00 120.00
Sites, in units of the cell vectors:
Ho1 0.3333 0.6667 0.4083
Ho2 0.6667 0.3333 0.5917
Er1 0.3333 0.6667 0.0904
Er2 0.6667 0.3333 0.9096
Tl1 0.3333 0.6667 0.7508
Tl2 0.6667 0.3333 0.2492
B1 0.0000 0.0000 0.0000
B2 0.0000 0.0000 0.5000